[1]
The following is a theoretical powder diffractogram of AcBF6. It was derived from a crystal structure in Alexandria, relaxed with GGA-PBE, using Cu Kα X-rays.
Kinematic intensities with the Lorentz-polarization factor, no thermal factor.

Main lines, in order of rising 2θ (10° ≤ 2θ ≤ 90°):
2θ = 20.1°, intensity 100.0, (1 0 1)
2θ = 25.7°, intensity 97.3, (1 1 0)
2θ = 31.3°, intensity 53.3, (0 1 2)
2θ = 32.8°, intensity 29.4, (0 2 1)
2θ = 40.9°, intensity 16.8, (2 0 2)
2θ = 41.7°, intensity 17.5, (0 0 3)
2θ = 42.1°, intensity 77.0, (2 1 1)
2θ = 48.9°, intensity 52.7, (1 2 2)
2θ = 49.6°, intensity 29.1, (1 1 3)
2θ = 71.4°, intensity 16.5, (2 1 4)

Cell lengths 6.9419, 6.9419, 6.4963 Å; angles 90.00, 90.00, 120.00 degrees
Space group R-3m (No. 166, hexagonal axes)
Symmetry-distinct sites (fractional):
Ac: 0.0000 0.0000 0.0000 x3
B: 0.0000 0.0000 0.5000 x3
F: 0.1099 0.2197 0.6485 x18

***

[2]
The following is a theoretical powder diffractogram of AcFeB14. It was derived from a crystal structure in Alexandria, relaxed with GGA-PBE, using Cu Kα X-rays.
Kinematic intensities with the Lorentz-polarization factor, no thermal factor.

Main lines, in order of rising 2θ (10° ≤ 2θ ≤ 90°):
2θ = 13.2°, intensity 45.0, (0 1 1)
2θ = 16.2°, intensity 100.0, (0 2 0)
2θ = 18.4°, intensity 43.0, (1 0 1)
2θ = 24.6°, intensity 72.2, (1 2 1)
2θ = 27.2°, intensity 96.1, (1 1 2)
2θ = 32.8°, intensity 47.3, (0 4 0)
2θ = 33.3°, intensity 59.8, (2 1 1)
2θ = 36.0°, intensity 60.4, (1 3 2)
2θ = 39.1°, intensity 35.1, (1 2 3)
2θ = 40.9°, intensity 49.7, (2 3 1)

Cell lengths 5.872, 10.930, 8.457 Å; angles 90.00, 90.00, 90.00 degrees
Space group Imma (No. 74)
Symmetry-distinct sites (fractional):
Ac: 0.000 0.250 0.130 x4
Fe: 0.250 0.250 0.750 x4
B: 0.000 0.085 0.666 x8
B: 0.000 0.129 0.861 x8
B: 0.000 0.165 0.469 x8
B: 0.161 0.056 0.342 x16
B: 0.249 0.077 0.550 x16

***

[3]
The following is a theoretical powder diffractogram of Ac2Fe3B12Ir. It was derived from a crystal structure in Alexandria, relaxed with GGA-PBE, using Cu Kα X-rays.
Kinematic intensities with the Lorentz-polarization factor, no thermal factor.

Main lines, in order of rising 2θ (10° ≤ 2θ ≤ 90°):
2θ = 12.4°, intensity 51.0, (0 0 3)
2θ = 23.9°, intensity 23.6, (1 0 4)
2θ = 27.0°, intensity 75.3, (0 1 5)
2θ = 29.8°, intensity 61.7, (1 1 0)
2θ = 32.4°, intensity 100.0, (1 1 3)
2θ = 37.8°, intensity 38.2, (0 1 8)
2θ = 48.9°, intensity 34.4, (2 0 8)
2θ = 51.2°, intensity 26.1, (1 2 5)
2θ = 54.6°, intensity 24.0, (3 0 3)
2θ = 58.3°, intensity 19.2, (1 2 8)

Cell lengths 5.9963, 5.9963, 21.3980 Å; angles 90.00, 90.00, 120.00 degrees
Space group R-3m (No. 166, hexagonal axes)
Symmetry-distinct sites (fractional):
Ac: 0.0000 0.0000 0.1264 x6
Fe: 0.0000 0.5000 0.0000 x9
B: 0.0278 0.5139 0.0980 x18
B: 0.0980 0.1961 0.7357 x18
Ir: 0.0000 0.0000 0.5000 x3

***

[4]
The following is a theoretical powder diffractogram of AcGa4B3O12. It was derived from a crystal structure in Alexandria, relaxed with GGA-PBE, using Cu Kα X-rays.
Kinematic intensities with the Lorentz-polarization factor, no thermal factor.

Main lines, in order of rising 2θ (10° ≤ 2θ ≤ 90°):
2θ = 17.4°, intensity 82.3, (1 1 0)
2θ = 30.4°, intensity 42.3, (2 1 1)
2θ = 35.3°, intensity 100.0, (2 2 0)
2θ = 39.6°, intensity 42.5, (3 1 0)
2θ = 47.3°, intensity 45.2, (3 2 1)
2θ = 50.7°, intensity 19.5, (4 0 0)
2θ = 54.1°, intensity 13.2, (4 1 1)
2θ = 63.3°, intensity 48.3, (4 2 2)
2θ = 66.2°, intensity 21.7, (4 1 3)
2θ = 85.3°, intensity 18.9, (6 2 0)

Cell lengths 7.196, 7.196, 7.196 Å; angles 90.00, 90.00, 90.00 degrees
Space group Im-3 (No. 204)
Symmetry-distinct sites (fractional):
Ac: 0.000 0.000 0.000 x2
Ga: 0.250 0.250 0.250 x8
B: 0.000 0.000 0.500 x6
O: 0.000 0.156 0.337 x24